Record 1
# NbGaCoRu
Simulated PXRD pattern, copper Kα. Input: a cell relaxed with PBE.
Peak positions follow from Bragg's law for the DFT cell and can differ from measured ones.

Main lines, in order of rising 2θ (2θ from 10° to 90°):
hkl 1 0 1, 25.41°, d 3.505, I = 7.1
hkl 1 1 2, 41.04°, d 2.199, I = 100.0
hkl 2 0 0, 44.16°, d 2.051, I = 40.3
hkl 1 0 3, 46.04°, d 1.971, I = 1.4
hkl 2 1 1, 51.63°, d 1.770, I = 2.1
hkl 0 0 4, 54.42°, d 1.686, I = 10.7
hkl 2 2 0, 64.22°, d 1.450, I = 12.7
hkl 2 0 4, 72.58°, d 1.302, I = 17.4
hkl 3 1 2, 79.10°, d 1.211, I = 27.2
hkl 2 2 4, 89.04°, d 1.100, I = 10.3

abc: 4.102 4.102 6.744
angles: 90.00 90.00 90.00
Fractional coordinates of all 8 atoms:
Nb (0.000, 0.000, 0.000)
Nb (0.500, 0.500, 0.500)
Ga (0.000, 0.000, 0.500)
Ga (0.500, 0.500, 0.000)
Co (0.000, 0.500, 0.250)
Co (0.500, 0.000, 0.750)
Ru (0.000, 0.500, 0.750)
Ru (0.500, 0.000, 0.250)

=====

Record 2
# LiPmMgSc
Simulated PXRD pattern, copper Kα. Input: a cell relaxed with PBE.
Peak positions follow from Bragg's law for the DFT cell and can differ from measured ones.

Main lines, in order of rising 2θ (2θ from 10° to 90°):
hkl 1 1 1, 20.80°, d 4.271, I = 49.8
hkl 2 0 0, 24.06°, d 3.699, I = 65.4
hkl 2 2 0, 34.28°, d 2.616, I = 100.0
hkl 3 1 1, 40.44°, d 2.231, I = 28.2
hkl 2 2 2, 42.32°, d 2.136, I = 19.2
hkl 4 0 0, 49.27°, d 1.850, I = 17.5
hkl 3 3 1, 54.03°, d 1.697, I = 12.6
hkl 4 2 0, 55.55°, d 1.654, I = 25.5
hkl 4 2 2, 61.39°, d 1.510, I = 35.6
hkl 6 2 0, 82.45°, d 1.170, I = 15.1

abc: 7.398 7.398 7.398
angles: 90.00 90.00 90.00
Fractional coordinates of all 16 atoms:
Li (0.000, 0.000, 0.000)
Li (0.000, 0.500, 0.500)
Li (0.500, 0.000, 0.500)
Li (0.500, 0.500, 0.000)
Pm (0.250, 0.250, 0.250)
Pm (0.250, 0.750, 0.750)
Pm (0.750, 0.250, 0.750)
Pm (0.750, 0.750, 0.250)
Mg (0.000, 0.000, 0.500)
Mg (0.000, 0.500, 0.000)
Mg (0.500, 0.000, 0.000)
Mg (0.500, 0.500, 0.500)
Sc (0.250, 0.250, 0.750)
Sc (0.250, 0.750, 0.250)
Sc (0.750, 0.250, 0.250)
Sc (0.750, 0.750, 0.750)

=====

Record 3
# KNa2Ga
Simulated PXRD pattern, copper Kα. Input: a cell relaxed with PBE.
Peak positions follow from Bragg's law for the DFT cell and can differ from measured ones.

Main lines, in order of rising 2θ (2θ from 10° to 90°):
hkl 0 0 1, 17.45°, d 5.083, I = 15.3
hkl 1 1 0, 24.18°, d 3.680, I = 13.9
hkl 1 1 1, 29.98°, d 2.981, I = 100.0
hkl 2 0 0, 34.47°, d 2.602, I = 34.0
hkl 0 0 2, 35.32°, d 2.541, I = 15.9
hkl 2 2 0, 49.54°, d 1.840, I = 11.4
hkl 2 0 2, 50.18°, d 1.818, I = 21.9
hkl 3 1 1, 58.99°, d 1.566, I = 25.9
hkl 1 1 3, 60.12°, d 1.539, I = 12.2
hkl 2 2 2, 62.30°, d 1.490, I = 10.8

abc: 5.204 5.204 5.083
angles: 90.00 90.00 90.00
Fractional coordinates of all 4 atoms:
K (0.000, 0.000, 0.000)
Na (0.000, 0.500, 0.500)
Na (0.500, 0.000, 0.500)
Ga (0.500, 0.500, 0.000)